Theoretical powder X-ray diffraction pattern
Compound: Li6Ni5O10
Radiation: Cu Kα (λ = 1.5418 Å)
Structure: a PBE+U-relaxed structure

Structure:
Unit cell a=5.2663 b=5.6097 c=7.7277 alpha=71.06 beta=70.38 gamma=67.05
Element x y z (fractional)
Li  0.1662  0.1014  0.4559
Li  0.2744  0.9315  0.7606
Li  0.2773  0.0753  0.0927
Li  0.7227  0.9247  0.9073
Li  0.7256  0.0685  0.2394
Li  0.8338  0.8986  0.5441
Ni  0.0987  0.4949  0.8027
Ni  0.3051  0.5122  0.3962
Ni  0.5000  0.5000  0.0000
Ni  0.6949  0.4878  0.6038
Ni  0.9013  0.5051  0.1973
O  0.0764  0.7063  0.9641
O  0.1152  0.2939  0.6382
O  0.2535  0.7282  0.5805
O  0.3366  0.2824  0.2247
O  0.4941  0.7138  0.1504
O  0.5059  0.2862  0.8496
O  0.6634  0.7176  0.7753
O  0.7465  0.2718  0.4195
O  0.8848  0.7061  0.3618
O  0.9236  0.2937  0.0359

Peak list (10 most intense, 2θ from 10° to 90°, in order of falling intensity)
2theta	I (rel.)	hkl
17.61	100.0	0 1 0
37.25	25.2	2 0 1
41.41	20.7	1 2 3
39.40	19.2	1 1 -2
47.85	13.4	2 -1 1
50.65	11.4	1 2 -2
34.18	9.4	2 1 1
35.47	8.6	1 1 3
53.72	7.8	1 3 3
35.14	7.3	1 0 -2